Diffraction record for Li5FeSi2O8. The powder X-ray diffraction pattern is calculated, not measured: it uses a structure optimized by DFT (GGA+U) and Cu Kα (weighted mean of Kα1 and Kα2).

Most intense lines, 2θ = 10–90°, in order of falling intensity:
2theta	d_spacing	Rel. int.
21.94	4.051	100
34.04	2.634	94
33.21	2.698	50
33.06	2.709	47
22.05	4.032	42
16.83	5.268	40
14.06	6.300	37
28.05	3.181	37
60.21	1.537	26
60.49	1.531	25

Atomic structure:
abc: 5.268 5.268 6.301
angles: 90.28 90.28 90.79
Atoms (fractional coordinates):
Li 0.000 0.000 0.000
Li 0.352 0.648 0.000
Li 0.513 0.120 0.237
Li 0.880 0.487 0.763
Li 0.986 0.014 0.500
Fe 0.358 0.642 0.500
Si 0.512 0.136 0.756
Si 0.864 0.488 0.244
O 0.377 0.018 0.964
O 0.384 0.003 0.534
O 0.455 0.452 0.739
O 0.548 0.545 0.261
O 0.818 0.117 0.750
O 0.883 0.182 0.250
O 0.982 0.623 0.036
O 0.997 0.616 0.466